The following is a simulated X-ray powder pattern of PrFeH3. It was derived from a DFT-relaxed cell (GGA-PBE, Alexandria), using a wavelength of 1.5418 Å.

abc: 3.665 3.665 3.665
angles: 90.00 90.00 90.00
Sites, in units of the cell vectors:
1 Pr 0.000 0.000 0.000
2 Fe 0.500 0.500 0.500
3 H 0.000 0.500 0.500
4 H 0.500 0.000 0.500
5 H 0.500 0.500 0.000

Peak list (10 most intense, 2θ = 10–90°, sorted by position)
24.28 deg, intensity 20; 34.61 deg, intensity 100; 42.73 deg, intensity 7; 49.76 deg, intensity 18; 56.11 deg, intensity 9; 62.03 deg, intensity 36; 73.02 deg, intensity 11; 78.25 deg, intensity 5; 83.39 deg, intensity 15; 88.47 deg, intensity 3

The following is a simulated X-ray powder pattern of PrFeH6. It was derived from a DFT-relaxed cell (GGA-PBE, Alexandria), using a wavelength of 1.5418 Å.

abc: 4.494 4.494 4.494
angles: 61.00 61.00 61.00
Sites, in units of the cell vectors:
1 Pr 0.000 0.000 0.000
2 Fe 0.500 0.500 0.500
3 H 0.083 0.601 0.601
4 H 0.399 0.399 0.917
5 H 0.399 0.917 0.399
6 H 0.601 0.083 0.601
7 H 0.601 0.601 0.083
8 H 0.917 0.399 0.399

Peak list (10 most intense, 2θ = 10–90°, sorted by position)
23.95 deg, intensity 23; 27.87 deg, intensity 100; 39.51 deg, intensity 39; 40.14 deg, intensity 39; 47.01 deg, intensity 9; 49.04 deg, intensity 21; 57.59 deg, intensity 12; 64.73 deg, intensity 18; 65.61 deg, intensity 17; 72.09 deg, intensity 13

The following is a simulated X-ray powder pattern of Fe5H4Pt. It was derived from a DFT-relaxed cell (GGA-PBE, Alexandria), using a wavelength of 1.5418 Å.

abc: 4.488 4.488 8.314
angles: 116.70 116.70 34.37
Sites, in units of the cell vectors:
1 Fe 0.000 0.000 0.000
2 Fe 0.304 0.304 0.669
3 Fe 0.344 0.344 0.150
4 Fe 0.656 0.656 0.850
5 Fe 0.696 0.696 0.331
6 H 0.014 0.014 0.218
7 H 0.324 0.324 0.914
8 H 0.676 0.676 0.086
9 H 0.986 0.986 0.782
10 Pt 0.500 0.500 0.500

Peak list (10 most intense, 2θ = 10–90°, sorted by position)
12.06 deg, intensity 89; 20.74 deg, intensity 39; 35.88 deg, intensity 61; 36.07 deg, intensity 48; 39.82 deg, intensity 51; 41.57 deg, intensity 81; 42.21 deg, intensity 66; 43.55 deg, intensity 67; 46.99 deg, intensity 100; 47.79 deg, intensity 45

The following is a simulated X-ray powder pattern of PuFeH6. It was derived from a DFT-relaxed cell (GGA-PBE, Alexandria), using a wavelength of 1.5418 Å.

abc: 3.987 3.987 3.987
angles: 98.51 98.51 98.51
Sites, in units of the cell vectors:
1 Pu 0.000 0.000 0.000
2 Fe 0.500 0.500 0.500
3 H 0.209 0.209 0.566
4 H 0.209 0.566 0.209
5 H 0.434 0.791 0.791
6 H 0.566 0.209 0.209
7 H 0.791 0.434 0.791
8 H 0.791 0.791 0.434

Peak list (10 most intense, 2θ = 10–90°, sorted by position)
22.90 deg, intensity 63; 29.57 deg, intensity 100; 35.42 deg, intensity 62; 37.73 deg, intensity 18; 46.80 deg, intensity 28; 48.66 deg, intensity 20; 52.47 deg, intensity 20; 56.34 deg, intensity 34; 61.39 deg, intensity 13; 72.92 deg, intensity 15

The following is a simulated X-ray powder pattern of PuFeH8Rh2. It was derived from a DFT-relaxed cell (GGA-PBE, Alexandria), using a wavelength of 1.5418 Å.

abc: 6.064 6.064 6.064
angles: 44.42 44.42 44.42
Sites, in units of the cell vectors:
1 Pu 0.000 0.000 0.000
2 Fe 0.500 0.500 0.500
3 H 0.157 0.398 0.785
4 H 0.215 0.843 0.602
5 H 0.312 0.312 0.312
6 H 0.398 0.785 0.157
7 H 0.602 0.215 0.843
8 H 0.688 0.688 0.688
9 H 0.785 0.157 0.398
10 H 0.843 0.602 0.215
11 Rh 0.209 0.209 0.209
12 Rh 0.791 0.791 0.791

Peak list (10 most intense, 2θ = 10–90°, sorted by position)
23.05 deg, intensity 69; 31.40 deg, intensity 100; 35.55 deg, intensity 64; 39.31 deg, intensity 87; 51.14 deg, intensity 26; 52.12 deg, intensity 26; 54.03 deg, intensity 20; 61.26 deg, intensity 21; 66.35 deg, intensity 23; 68.83 deg, intensity 20

The following is a simulated X-ray powder pattern of RbZnFeH6. It was derived from a DFT-relaxed cell (GGA-PBE, Alexandria), using a wavelength of 1.5418 Å.

abc: 5.628 4.541 4.541
angles: 61.61 90.00 90.00
Sites, in units of the cell vectors:
1 Rb 0.000 0.000 0.000
2 Zn 0.500 0.335 0.335
3 Fe 0.500 0.675 0.675
4 H 0.306 0.515 0.963
5 H 0.306 0.963 0.515
6 H 0.311 0.527 0.527
7 H 0.689 0.527 0.527
8 H 0.694 0.515 0.963
9 H 0.694 0.963 0.515

Peak list (10 most intense, 2θ = 10–90°, sorted by position)
27.38 deg, intensity 100; 27.83 deg, intensity 52; 31.80 deg, intensity 33; 38.72 deg, intensity 20; 39.71 deg, intensity 36; 48.35 deg, intensity 21; 50.94 deg, intensity 18; 51.75 deg, intensity 34; 54.00 deg, intensity 14; 79.65 deg, intensity 13